No. 1
Simulated powder diffraction line list of Y10Tl3Sb3 for Cu Kα, 1.54184 Å, from a PBE-relaxed structure.
No peak broadening, texture or thermal motion is included.

Peak list (10 most intense, 10° ≤ 2θ ≤ 90°, sorted by position)
- 2θ = 24.01°, rel. 26
- 2θ = 27.08°, rel. 30
- 2θ = 30.45°, rel. 20
- 2θ = 33.42°, rel. 100
- 2θ = 33.77°, rel. 71
- 2θ = 34.64°, rel. 39
- 2θ = 35.75°, rel. 15
- 2θ = 44.23°, rel. 26
- 2θ = 52.02°, rel. 28
- 2θ = 66.55°, rel. 22

Atomic structure:
Cell: 8.9698 8.9698 6.5847 Å, 90.00 90.00 120.00°
Space group P-62m (No. 189)
Asymmetric unit:
Y 0.0000 0.2384 0.0000 [3 per cell]
Y 0.0000 0.7623 0.5000 [3 per cell]
Y 0.3333 0.6667 0.2518 [4 per cell]
Tl 0.0000 0.3949 0.5000 [3 per cell]
Sb 0.0000 0.6059 0.0000 [3 per cell]

***

No. 2
Simulated powder diffraction line list of Tl5Zn4Sb4 for Cu Kα, 1.54184 Å, from a PBE-relaxed structure.
No peak broadening, texture or thermal motion is included.

Peak list (10 most intense, 10° ≤ 2θ ≤ 90°, sorted by position)
- 2θ = 24.99°, rel. 21
- 2θ = 28.63°, rel. 100
- 2θ = 29.42°, rel. 22
- 2θ = 31.05°, rel. 61
- 2θ = 31.89°, rel. 72
- 2θ = 34.88°, rel. 50
- 2θ = 39.76°, rel. 32
- 2θ = 51.29°, rel. 30
- 2θ = 55.78°, rel. 39
- 2θ = 59.66°, rel. 20

Atomic structure:
Cell: 12.880 12.880 4.534 Å, 90.00 90.00 90.00°
Space group I4/m (No. 87)
Asymmetric unit:
Tl 0.000 0.000 0.000 [2 per cell]
Tl 0.119 0.190 0.500 [8 per cell]
Zn 0.102 0.611 0.500 [8 per cell]
Sb 0.063 0.719 0.000 [8 per cell]

***

No. 3
Simulated powder diffraction line list of Tl2ZnSb5 for Cu Kα, 1.54184 Å, from a PBE-relaxed structure.
No peak broadening, texture or thermal motion is included.

Peak list (10 most intense, 10° ≤ 2θ ≤ 90°, sorted by position)
- 2θ = 26.42°, rel. 34
- 2θ = 26.58°, rel. 29
- 2θ = 29.33°, rel. 100
- 2θ = 30.31°, rel. 17
- 2θ = 34.48°, rel. 36
- 2θ = 35.40°, rel. 19
- 2θ = 37.74°, rel. 32
- 2θ = 39.45°, rel. 16
- 2θ = 41.91°, rel. 20
- 2θ = 44.36°, rel. 31

Atomic structure:
Cell: 10.624 8.171 6.826 Å, 90.00 120.69 90.00°
Space group Cm (No. 8)
Asymmetric unit:
Tl 0.000 0.235 0.000 [4 per cell]
Zn 0.430 0.500 0.281 [2 per cell]
Sb 0.050 0.274 0.555 [4 per cell]
Sb 0.224 0.500 0.447 [2 per cell]
Sb 0.269 0.000 0.653 [2 per cell]
Sb 0.290 0.000 0.252 [2 per cell]

***

No. 4
Simulated powder diffraction line list of TlZn2Sb2 for Cu Kα, 1.54184 Å, from a PBE-relaxed structure.
No peak broadening, texture or thermal motion is included.

Peak list (10 most intense, 10° ≤ 2θ ≤ 90°, sorted by position)
- 2θ = 25.21°, rel. 57
- 2θ = 27.24°, rel. 68
- 2θ = 27.68°, rel. 38
- 2θ = 27.85°, rel. 29
- 2θ = 28.41°, rel. 76
- 2θ = 31.73°, rel. 98
- 2θ = 32.26°, rel. 100
- 2θ = 35.23°, rel. 100
- 2θ = 42.19°, rel. 56
- 2θ = 48.90°, rel. 36

Atomic structure:
Cell: 7.619 12.812 6.723 Å, 90.00 124.32 90.00°
Space group Cm (No. 8)
Asymmetric unit:
Tl 0.000 0.247 0.000 [4 per cell]
Zn 0.009 0.000 0.763 [2 per cell]
Zn 0.249 0.500 0.243 [2 per cell]
Zn 0.390 0.153 0.502 [4 per cell]
Sb 0.034 0.157 0.502 [4 per cell]
Sb 0.175 0.500 0.791 [2 per cell]
Sb 0.387 0.000 0.214 [2 per cell]

***

Repeat the second record exactly.
Simulated powder diffraction line list of Tl5Zn4Sb4 for Cu Kα, 1.54184 Å, from a PBE-relaxed structure.
No peak broadening, texture or thermal motion is included.

Peak list (10 most intense, 10° ≤ 2θ ≤ 90°, sorted by position)
- 2θ = 24.99°, rel. 21
- 2θ = 28.63°, rel. 100
- 2θ = 29.42°, rel. 22
- 2θ = 31.05°, rel. 61
- 2θ = 31.89°, rel. 72
- 2θ = 34.88°, rel. 50
- 2θ = 39.76°, rel. 32
- 2θ = 51.29°, rel. 30
- 2θ = 55.78°, rel. 39
- 2θ = 59.66°, rel. 20

Atomic structure:
Cell: 12.880 12.880 4.534 Å, 90.00 90.00 90.00°
Space group I4/m (No. 87)
Asymmetric unit:
Tl 0.000 0.000 0.000 [2 per cell]
Tl 0.119 0.190 0.500 [8 per cell]
Zn 0.102 0.611 0.500 [8 per cell]
Sb 0.063 0.719 0.000 [8 per cell]